Diffraction record for Er4CdRh2. The powder diffractogram is calculated, not measured: it uses DFT lattice parameters and positions (PBE) and Cu Kα X-rays.
Neutral-atom scattering factors, no anomalous dispersion.

Largest 8 diffraction maxima, most intense first, 2θ = 10–80°:
| Position (°2θ) | intensity |
| --- | --- |
| 37.20 | 1000 |
| 40.22 | 893 |
| 27.12 | 794 |
| 55.93 | 387 |
| 71.11 | 336 |
| 25.68 | 172 |
| 49.18 | 158 |
| 73.09 | 152 |

```
7
Lattice="2.242 1.295 10.291 -2.242 1.295 10.291 0.000 -2.589 10.291" Properties=species:S:1:pos:R:3 pbc="T T T"
Er 0.000 0.000 3.349
Er 0.000 0.000 9.229
Er 0.000 0.000 21.644
Er 0.000 0.000 27.524
Cd 0.000 0.000 15.436
Rh 0.000 0.000 12.434
Rh 0.000 0.000 18.439
```

Diffraction record for Er3Cd3Rh. The powder diffractogram is calculated, not measured: it uses DFT lattice parameters and positions (PBE) and Cu Kα X-rays.
Neutral-atom scattering factors, no anomalous dispersion.

Largest 8 diffraction maxima, most intense first, 2θ = 10–80°:
| Position (°2θ) | intensity |
| --- | --- |
| 33.19 | 1000 |
| 36.23 | 905 |
| 31.24 | 424 |
| 55.60 | 380 |
| 49.95 | 200 |
| 66.31 | 172 |
| 69.30 | 147 |
| 42.77 | 146 |

```
28
Lattice="0.000 7.013 7.013 7.013 0.000 7.013 7.013 7.013 0.000" Properties=species:S:1:pos:R:3 pbc="T T T"
Er 5.260 5.260 1.133
Er 5.260 1.133 5.260
Er 9.386 5.260 5.260
Er 8.766 8.766 4.639
Er 8.766 4.639 8.766
Er 12.893 8.766 8.766
Er 1.133 5.260 5.260
Er 5.260 9.386 5.260
Er 5.260 5.260 9.386
Er 4.639 8.766 8.766
Er 8.766 12.893 8.766
Er 8.766 8.766 12.893
Cd 7.013 3.506 3.506
Cd 4.077 4.077 4.077
Cd 6.442 6.442 4.077
Cd 6.442 4.077 6.442
Cd 9.948 7.584 7.584
Cd 3.506 7.013 3.506
Cd 3.506 3.506 7.013
Cd 7.013 7.013 7.013
Cd 4.077 6.442 6.442
Cd 7.584 9.948 7.584
Cd 7.584 7.584 9.948
Cd 9.948 9.948 9.948
Rh 0.000 0.000 0.000
Rh 3.506 3.506 0.000
Rh 3.506 0.000 3.506
Rh 0.000 3.506 3.506
```

Diffraction record for Er3Cd2Ru. The powder diffractogram is calculated, not measured: it uses DFT lattice parameters and positions (PBE) and Cu Kα X-rays.
Neutral-atom scattering factors, no anomalous dispersion.

Largest 8 diffraction maxima, most intense first, 2θ = 10–80°:
| Position (°2θ) | intensity |
| --- | --- |
| 34.90 | 1000 |
| 35.92 | 250 |
| 36.19 | 236 |
| 51.90 | 182 |
| 63.91 | 169 |
| 64.26 | 155 |
| 73.69 | 98 |
| 61.73 | 86 |

```
12
Lattice="5.000 0.000 0.000 0.000 7.521 0.000 -2.496 0.000 7.447" Properties=species:S:1:pos:R:3 pbc="T T T"
Er 0.000 1.732 0.000
Er 0.000 5.788 0.000
Er 0.003 1.655 4.849
Er 0.003 5.866 4.849
Er 2.501 1.655 2.598
Er 2.501 5.866 2.598
Cd -0.004 3.760 2.471
Cd 2.500 0.000 0.000
Cd 2.500 3.760 0.000
Cd 2.507 3.760 4.976
Ru 0.002 0.000 2.430
Ru 2.502 0.000 5.017
```

Diffraction record for Er4Cd3Ru. The powder diffractogram is calculated, not measured: it uses DFT lattice parameters and positions (PBE) and Cu Kα X-rays.
Neutral-atom scattering factors, no anomalous dispersion.

Largest 8 diffraction maxima, most intense first, 2θ = 10–80°:
| Position (°2θ) | intensity |
| --- | --- |
| 34.22 | 1000 |
| 36.84 | 469 |
| 64.69 | 309 |
| 53.09 | 163 |
| 59.52 | 129 |
| 45.02 | 75 |
| 72.09 | 73 |
| 69.76 | 65 |

```
8
Lattice="3.450 0.000 0.000 0.000 3.450 0.000 0.000 0.000 16.110" Properties=species:S:1:pos:R:3 pbc="T T T"
Er 0.000 0.000 1.625
Er 0.000 0.000 5.921
Er 0.000 0.000 10.189
Er 0.000 0.000 14.485
Cd 1.725 1.725 3.846
Cd 1.725 1.725 8.055
Cd 1.725 1.725 12.264
Ru 1.725 1.725 0.000
```

Please write out number 4 again, unchanged.
Diffraction record for Er4Cd3Ru. The powder diffractogram is calculated, not measured: it uses DFT lattice parameters and positions (PBE) and Cu Kα X-rays.
Neutral-atom scattering factors, no anomalous dispersion.

Largest 8 diffraction maxima, most intense first, 2θ = 10–80°:
| Position (°2θ) | intensity |
| --- | --- |
| 34.22 | 1000 |
| 36.84 | 469 |
| 64.69 | 309 |
| 53.09 | 163 |
| 59.52 | 129 |
| 45.02 | 75 |
| 72.09 | 73 |
| 69.76 | 65 |

```
8
Lattice="3.450 0.000 0.000 0.000 3.450 0.000 0.000 0.000 16.110" Properties=species:S:1:pos:R:3 pbc="T T T"
Er 0.000 0.000 1.625
Er 0.000 0.000 5.921
Er 0.000 0.000 10.189
Er 0.000 0.000 14.485
Cd 1.725 1.725 3.846
Cd 1.725 1.725 8.055
Cd 1.725 1.725 12.264
Ru 1.725 1.725 0.000
```